(1)
This entry pairs a crystal structure of TlV2I3O13 with its calculated powder diffraction line list. Radiation: CuKα. Structure: a crystal structure in the Materials Project, relaxed with PBE+U.

abc: 9.6714 9.6714 9.6714
angles: 87.28 114.14 129.67
Element x y z (fractional)
1 Tl 0.1089 0.2500 0.3589
2 Tl 0.8911 0.7500 0.6411
3 V 0.5132 0.1582 0.6124
4 V 0.5132 0.4008 0.8550
5 V 0.5458 0.6582 0.1450
6 V 0.5458 0.9008 0.3876
7 I 0.0023 0.2485 0.7353
8 I 0.0023 0.7670 0.2538
9 I 0.0597 0.5313 0.0284
10 I 0.5029 0.0313 0.9716
11 I 0.5132 0.2670 0.2647
12 I 0.5132 0.7485 0.7462
13 O 0.2331 0.8288 0.9043
14 O 0.2391 0.1090 0.1929
15 O 0.2391 0.5463 0.6301
16 O 0.2413 0.5121 0.0259
17 O 0.2413 0.7154 0.2293
18 O 0.2687 0.0576 0.5135
19 O 0.2687 0.2552 0.7110
20 O 0.4853 0.4853 0.0000
21 O 0.4853 0.9853 0.5000
22 O 0.4861 0.0121 0.7707
23 O 0.4861 0.2154 0.9741
24 O 0.5421 0.0976 0.2458
25 O 0.5421 0.7963 0.9445
26 O 0.5442 0.5576 0.2890
27 O 0.5442 0.7552 0.4865
28 O 0.5950 0.8605 0.2345
29 O 0.6160 0.3300 0.4876
30 O 0.6160 0.6284 0.7860
31 O 0.6260 0.3605 0.7655
32 O 0.8424 0.1284 0.5124
33 O 0.8424 0.8300 0.2140
34 O 0.8519 0.2963 0.7542
35 O 0.8519 0.5976 0.0555
36 O 0.9161 0.0463 0.8071
37 O 0.9161 0.6090 0.3699
38 O 0.9245 0.3288 0.0957

Most intense lines, 2θ = 10–80°, sorted by position:
2θ 18.66, intensity 36.8; 2θ 21.04, intensity 52.0; 2θ 24.09, intensity 61.6; 2θ 25.12, intensity 54.5; 2θ 25.45, intensity 42.6; 2θ 27.54, intensity 100.0; 2θ 29.00, intensity 51.8; 2θ 30.19, intensity 39.4; 2θ 30.69, intensity 44.6; 2θ 48.65, intensity 63.8

(2)
This entry pairs a crystal structure of WI3O with its calculated powder diffraction line list. Radiation: CuKα. Structure: a crystal structure in the Materials Project, relaxed with PBE+U.

abc: 13.9867 13.9867 3.8678
angles: 90.00 90.00 90.00
Element x y z (fractional)
1 W 0.1070 0.1070 0.0000
2 W 0.3930 0.6070 0.5000
3 W 0.6070 0.3930 0.5000
4 W 0.8930 0.8930 0.0000
5 I 0.0987 0.3007 0.0000
6 I 0.0992 0.9008 0.0000
7 I 0.1993 0.5987 0.5000
8 I 0.3007 0.0987 0.0000
9 I 0.4008 0.4008 0.5000
10 I 0.4013 0.8007 0.5000
11 I 0.5987 0.1993 0.5000
12 I 0.5992 0.5992 0.5000
13 I 0.6993 0.9013 0.0000
14 I 0.8007 0.4013 0.5000
15 I 0.9008 0.0992 0.0000
16 I 0.9013 0.6993 0.0000
17 O 0.1021 0.1021 0.5000
18 O 0.3979 0.6021 0.0000
19 O 0.6021 0.3979 0.0000
20 O 0.8979 0.8979 0.5000

Most intense lines, 2θ = 10–80°, sorted by position:
2θ 14.16, intensity 56.1; 2θ 23.87, intensity 100.0; 2θ 24.72, intensity 27.4; 2θ 25.47, intensity 57.8; 2θ 26.27, intensity 21.9; 2θ 32.65, intensity 54.0; 2θ 39.77, intensity 88.3; 2θ 45.88, intensity 36.8; 2θ 47.82, intensity 34.5; 2θ 67.76, intensity 20.8

(3)
This entry pairs a crystal structure of K5InMo4O16 with its calculated powder diffraction line list. Radiation: CuKα. Structure: a crystal structure in the Materials Project, relaxed with PBE+U.

abc: 9.6759 9.6759 10.7281
angles: 108.18 108.18 79.11
Element x y z (fractional)
1 K 0.1093 0.8907 0.7500
2 K 0.1177 0.3183 0.0626
3 K 0.1574 0.4242 0.4279
4 K 0.3183 0.1177 0.5626
5 K 0.4242 0.1574 0.9279
6 K 0.5758 0.8426 0.0721
7 K 0.6817 0.8823 0.4374
8 K 0.8426 0.5758 0.5721
9 K 0.8823 0.6817 0.9374
10 K 0.8907 0.1093 0.2500
11 In 0.3850 0.6150 0.2500
12 In 0.6150 0.3850 0.7500
13 Mo 0.0306 0.7623 0.3402
14 Mo 0.2377 0.9694 0.1598
15 Mo 0.2824 0.5442 0.8688
16 Mo 0.4558 0.7176 0.6312
17 Mo 0.5442 0.2824 0.3688
18 Mo 0.7176 0.4558 0.1312
19 Mo 0.7623 0.0306 0.8402
20 Mo 0.9694 0.2377 0.6598
21 O 0.0211 0.2893 0.5358
22 O 0.0730 0.8830 0.0784
23 O 0.0930 0.5621 0.7826
24 O 0.1170 0.9270 0.4216
25 O 0.1334 0.2002 0.7846
26 O 0.1637 0.6224 0.2642
27 O 0.2002 0.1334 0.2846
28 O 0.2874 0.6516 0.5965
29 O 0.2893 0.0211 0.0358
30 O 0.3029 0.5086 0.0307
31 O 0.3484 0.7126 0.9035
32 O 0.3776 0.8363 0.2358
33 O 0.3896 0.4003 0.7690
34 O 0.4003 0.3896 0.2690
35 O 0.4379 0.9070 0.7174
36 O 0.4914 0.6971 0.4693
37 O 0.5086 0.3029 0.5307
38 O 0.5621 0.0930 0.2826
39 O 0.5997 0.6104 0.7310
40 O 0.6104 0.5997 0.2310
41 O 0.6224 0.1637 0.7642
42 O 0.6516 0.2874 0.0965
43 O 0.6971 0.4914 0.9693
44 O 0.7107 0.9789 0.9642
45 O 0.7126 0.3484 0.4035
46 O 0.7998 0.8666 0.7154
47 O 0.8363 0.3776 0.7358
48 O 0.8666 0.7998 0.2154
49 O 0.8830 0.0730 0.5784
50 O 0.9070 0.4379 0.2174
51 O 0.9270 0.1170 0.9216
52 O 0.9789 0.7107 0.4642

Most intense lines, 2θ = 10–80°, sorted by position:
2θ 12.98, intensity 18.7; 2θ 19.06, intensity 12.1; 2θ 23.59, intensity 12.2; 2θ 26.32, intensity 38.7; 2θ 28.00, intensity 66.4; 2θ 28.95, intensity 100.0; 2θ 39.55, intensity 25.2; 2θ 46.89, intensity 15.3; 2θ 51.31, intensity 15.7; 2θ 59.99, intensity 13.2